Record 1
Computed X-ray diffraction stick pattern of Cs3AgO2 for Cu Ka, from the PBE geometry in OQMD.

Main lines, in order of rising 2θ (2θ = 10–90°):
2theta	intensity	hkl
28.0	100.0	1 2 1
28.1	12.7	2 0 0
29.1	32.8	0 4 0
39.0	13.6	0 0 2
49.4	14.9	0 4 2
51.0	15.7	1 6 1

Atomic structure:
```
data_Cs3AgO2
_chemical_formula_sum 'Cs6 Ag2 O4'
_symmetry_space_group_name_H-M 'P n n m'
_symmetry_Int_Tables_number 58
_cell_length_a 6.345
_cell_length_b 12.245
_cell_length_c 4.618
_cell_angle_alpha 90.00
_cell_angle_beta 90.00
_cell_angle_gamma 90.00
loop_
_symmetry_equiv_pos_as_xyz
'x,y,z'
'-x,-y,-z'
'-x,-y,z'
'x,y,-z'
'x+1/2,-y+1/2,-z+1/2'
'-x+1/2,y+1/2,z+1/2'
'-x+1/2,y+1/2,-z+1/2'
'x+1/2,-y+1/2,z+1/2'
loop_
_atom_site_label
_atom_site_fract_x
_atom_site_fract_y
_atom_site_fract_z
Cs1 0.000 0.000 0.000
Cs2 0.086 0.266 0.500
Ag1 0.000 0.500 0.000
O1 0.230 0.383 0.000
```


Record 2
Computed X-ray diffraction stick pattern of CsAg3PbO4 for Cu Ka, from the PBE geometry in OQMD.

Main lines, in order of rising 2θ (2θ = 10–90°):
2theta	intensity	hkl
15.1	57.0	1 0 0
21.4	62.5	1 1 0
26.3	38.0	1 1 1
30.4	98.0	2 0 0
43.6	100.0	2 2 0
71.9	36.4	4 2 0

Atomic structure:
```
data_CsAg3PbO4
_chemical_formula_sum 'Cs1 Ag3 Pb1 O4'
_symmetry_space_group_name_H-M 'P -4 3 m'
_symmetry_Int_Tables_number 215
_symmetry_space_group_name_Hall 'P -4 2 3'
_cell_length_a 5.872
_cell_length_b 5.872
_cell_length_c 5.872
_cell_angle_alpha 90.00
_cell_angle_beta 90.00
_cell_angle_gamma 90.00
loop_
_atom_site_label
_atom_site_fract_x
_atom_site_fract_y
_atom_site_fract_z
Cs1 0.000 0.000 0.000
Ag1 0.000 0.500 0.500
Pb1 0.500 0.500 0.500
O1 0.292 0.292 0.292
```